Structure and theoretical X-ray powder pattern of BaMnAgF6 (a PBE+U-relaxed structure; CuKα).
Neutral-atom scattering factors, no anomalous dispersion.

Structure:
```
data_BaMnAgF6
_chemical_formula_sum 'Ba2 Mn2 Ag2 F12'
_cell_length_a 6.079
_cell_length_b 10.041
_cell_length_c 5.348
_cell_angle_alpha 90.00
_cell_angle_beta 91.79
_cell_angle_gamma 90.00
_space_group_name_H-M_alt 'C 1 2 1'
_space_group_IT_number 5
loop_
_space_group_symop_operation_xyz
'x,y,z'
'-x,y,-z'
'x+1/2,y+1/2,z'
'-x+1/2,y+1/2,-z'
loop_
_atom_site_label
_atom_site_fract_x
_atom_site_fract_y
_atom_site_fract_z
Ba1 0.000 0.000 0.000
Mn1 0.000 0.337 0.500
Ag1 0.000 0.679 0.500
F1 0.129 0.201 0.707
F2 0.135 0.473 0.703
F3 0.216 0.839 0.723
```

The 8 most intense peaks (10° ≤ 2θ ≤ 90°), in order of rising 2θ:
hkl 1 1 -1, 23.55°, I = 96; hkl 1 1 1, 24.20°, I = 90; hkl 0 2 1, 24.32°, I = 100; hkl 2 0 0, 29.40°, I = 38; hkl 1 3 0, 30.49°, I = 62; hkl 2 2 -1, 38.10°, I = 34; hkl 1 3 -2, 45.58°, I = 31; hkl 1 3 2, 46.31°, I = 46